1.
Ba3Sn4Pd: calculated X-ray powder pattern (Cu Ka), based on a GGA-PBE-relaxed structure.
No peak broadening, texture or thermal motion is included.

The 10 most intense peaks (2θ from 5° to 70°), low angle first:
d (Å)  2θ (°)  I/Imax
3.251  27.43  41
3.170  28.15  38
2.954  30.25  41
2.939  30.42  49
2.920  30.62  43
2.652  33.80  100
2.618  34.25  87
2.609  34.37  34
1.712  53.52  35
1.584  58.24  55

```
16
Lattice="6.503 0.000 0.000 0.000 12.681 0.000 0.000 0.000 6.633" Properties=species:S:1:pos:R:3 pbc="T T T"
Ba 1.626 0.071 1.178
Ba 1.626 6.269 1.178
Ba 1.626 9.511 3.643
Ba 4.877 3.170 2.990
Ba 4.877 6.412 5.455
Ba 4.877 12.610 5.455
Sn 0.026 3.170 6.462
Sn 1.626 1.490 4.408
Sn 1.626 4.850 4.408
Sn 3.225 3.170 6.462
Sn 3.278 9.511 0.171
Sn 4.877 7.831 2.225
Sn 4.877 11.191 2.225
Sn 6.476 9.511 0.171
Pd 1.626 3.170 2.181
Pd 4.877 9.511 4.452
```

***

2.
Na4Np3SbTe8: calculated X-ray powder pattern (Cu Ka), based on a GGA-PBE-relaxed structure.
No peak broadening, texture or thermal motion is included.

The 10 most intense peaks (2θ from 5° to 70°), low angle first:
d (Å)  2θ (°)  I/Imax
7.488  11.82  44
3.842  23.15  20
3.203  27.86  100
2.478  36.25  13
2.279  39.55  38
2.251  40.05  38
2.156  41.90  13
1.842  49.49  21
1.439  64.77  17
1.426  65.48  18

```
16
Lattice="4.502 2.599 7.488 -4.502 2.599 7.488 0.000 -5.199 7.488" Properties=species:S:1:pos:R:3 pbc="T T T"
Na 0.000 0.000 0.000
Na -2.251 -1.300 7.488
Na -2.251 1.300 14.975
Na 0.000 2.599 7.488
Np -4.502 0.000 11.231
Np -2.251 1.300 3.744
Np 2.251 1.300 3.744
Sb 0.000 0.000 11.231
Te 0.000 0.000 5.495
Te -2.235 -1.290 12.977
Te 0.000 -2.580 9.486
Te -2.235 1.290 9.486
Te 2.235 -1.290 12.977
Te 0.000 2.580 12.977
Te 2.235 1.290 9.486
Te 0.000 0.000 16.968
```